Calculated powder XRD pattern
Compound: PuFeHg2O6
Radiation: λ = 1.5418 Å (Cu Kα)
Structure: a structure optimized by DFT (PBE+U)
Lines closer than 0.1° are merged.

Crystal structure
```
PuFeHg2O6
1.0
2.8151 1.6253 4.8516
-2.8151 1.6253 4.8516
0.0000 -3.2506 4.8516
Pu Fe Hg O
1 1 2 6
direct
0.0000 0.0000 0.0000 Pu
0.5000 0.5000 0.5000 Fe
0.2460 0.2460 0.2460 Hg
0.7540 0.7540 0.7540 Hg
0.1578 0.3570 0.7438 O
0.2562 0.8422 0.6430 O
0.3570 0.7438 0.1578 O
0.6430 0.2562 0.8422 O
0.7438 0.1578 0.3570 O
0.8422 0.6430 0.2562 O
```

Principal peaks in the range 15° ≤ 2θ ≤ 90°, in order of rising 2θ:
19.20°, d 4.623, intensity 22
30.66°, d 2.916, intensity 100
31.79°, d 2.815, intensity 85
44.75°, d 2.025, intensity 44
53.78°, d 1.705, intensity 21
55.93°, d 1.644, intensity 39
56.63°, d 1.625, intensity 22
73.09°, d 1.295, intensity 18